This entry pairs a crystal structure of Co2O3F with its computed powder diffraction line list. Radiation: CuKα. Structure: a crystal structure in Alexandria, relaxed with GGA+U.
Lines closer than 0.1° are merged.

Main lines, by intensity (2θ from 10° to 90°):
2θ (°)  I (rel.)
36.62  1000
29.48  795
28.17  749
57.07  468
55.55  443
72.14  284
41.23  152
62.72  146
41.74  134
58.25  130

Structure:
Cell lengths 8.889, 6.060, 6.336 Å; angles 90.00, 90.00, 90.00 degrees
Space group Amm2 (No. 38)
One atom of each set of equivalent atoms:
Co 0.000 0.000 0.000 [2 per cell]
Co 0.166 0.000 0.474 [4 per cell]
Co 0.332 0.000 0.948 [4 per cell]
Co 0.500 0.000 0.481 [2 per cell]
O 0.000 0.000 0.283 [2 per cell]
O 0.166 0.194 0.976 [8 per cell]
O 0.331 0.000 0.665 [4 per cell]
O 0.500 0.196 0.955 [4 per cell]
F 0.000 0.000 0.695 [2 per cell]
F 0.337 0.000 0.255 [4 per cell]